1.
For CaCrAs2O7, a crystal structure in the Materials Project, relaxed with PBE+U gives the simulated X-ray diffraction stick pattern in this record (copper Kα).

Atomic structure:
Cell: 7.5059 9.1919 9.5798 Å, 90.00 110.57 90.00°
Sites, in units of the cell vectors:
Ca1 0.2487 0.0654 0.0668
Ca2 0.2487 0.4346 0.5668
Ca3 0.7513 0.5654 0.4332
Ca4 0.7513 0.9346 0.9332
Cr1 0.2838 0.0497 0.6764
Cr2 0.2838 0.4503 0.1764
Cr3 0.7162 0.5497 0.8236
Cr4 0.7162 0.9503 0.3236
As1 0.0790 0.7357 0.7649
As2 0.0790 0.7643 0.2649
As3 0.4768 0.7060 0.0427
As4 0.4768 0.7940 0.5427
As5 0.5232 0.2060 0.4573
As6 0.5232 0.2940 0.9573
As7 0.9210 0.2357 0.7351
As8 0.9210 0.2643 0.2351
O1 0.0659 0.6369 0.6112
O2 0.0659 0.8631 0.1112
O3 0.1268 0.2294 0.6969
O4 0.1268 0.2706 0.1969
O5 0.1516 0.5875 0.2793
O6 0.1516 0.9125 0.7793
O7 0.2519 0.6404 0.9184
O8 0.2519 0.8596 0.4184
O9 0.3547 0.1913 0.5385
O10 0.3547 0.3087 0.0385
O11 0.4822 0.6158 0.5883
O12 0.4822 0.8842 0.0883
O13 0.4971 0.0910 0.3110
O14 0.4971 0.4090 0.8110
O15 0.5029 0.5910 0.1890
O16 0.5029 0.9090 0.6890
O17 0.5178 0.1158 0.9117
O18 0.5178 0.3842 0.4117
O19 0.6453 0.6913 0.9615
O20 0.6453 0.8087 0.4615
O21 0.7481 0.1404 0.5816
O22 0.7481 0.3596 0.0816
O23 0.8484 0.0875 0.2207
O24 0.8484 0.4125 0.7207
O25 0.8732 0.7294 0.8031
O26 0.8732 0.7706 0.3031
O27 0.9341 0.1369 0.8888
O28 0.9341 0.3631 0.3888

Peak list (10 most intense, 10 to 90 degrees two-theta, in order of rising 2θ)
Position (°2θ)  intensity
19.34  42
20.96  23
27.10  84
27.49  100
27.92  69
28.81  18
32.05  67
33.48  16
39.71  16
54.62  16

2.
For Ca3Cr3As4O16, a crystal structure in the Materials Project, relaxed with PBE+U gives the simulated X-ray diffraction stick pattern in this record (copper Kα).

Atomic structure:
Cell: 9.3435 5.2290 17.3569 Å, 90.00 116.79 90.00°
Sites, in units of the cell vectors:
Ca1 0.0000 0.0000 0.0000
Ca2 0.0000 0.5000 0.5000
Ca3 0.3042 0.0332 0.2661
Ca4 0.3042 0.4668 0.7661
Ca5 0.6958 0.5332 0.2339
Ca6 0.6958 0.9668 0.7339
Cr1 0.2074 0.5226 0.3806
Cr2 0.2074 0.9774 0.8806
Cr3 0.5000 0.0000 0.5000
Cr4 0.5000 0.5000 0.0000
Cr5 0.7926 0.0226 0.1194
Cr6 0.7926 0.4774 0.6194
As1 0.0412 0.5068 0.1584
As2 0.0412 0.9932 0.6584
As3 0.4353 0.5076 0.5969
As4 0.4353 0.9924 0.0969
As5 0.5647 0.0076 0.9031
As6 0.5647 0.4924 0.4031
As7 0.9588 0.0068 0.3416
As8 0.9588 0.4932 0.8416
O1 0.0395 0.6657 0.6423
O2 0.0395 0.8343 0.1423
O3 0.0992 0.1655 0.5952
O4 0.0992 0.3345 0.0952
O5 0.1433 0.5872 0.8494
O6 0.1433 0.9128 0.3494
O7 0.1890 0.0574 0.7625
O8 0.1890 0.4426 0.2625
O9 0.2545 0.5591 0.5081
O10 0.2545 0.9409 0.0081
O11 0.4231 0.1950 0.9188
O12 0.4231 0.3050 0.4188
O13 0.4368 0.6105 0.6891
O14 0.4368 0.8895 0.1891
O15 0.4954 0.6969 0.8961
O16 0.4954 0.8031 0.3961
O17 0.5046 0.1969 0.6039
O18 0.5046 0.3031 0.1039
O19 0.5632 0.1105 0.8109
O20 0.5632 0.3895 0.3109
O21 0.5769 0.6950 0.5812
O22 0.5769 0.8050 0.0812
O23 0.7455 0.0591 0.9919
O24 0.7455 0.4409 0.4919
O25 0.8110 0.5574 0.7375
O26 0.8110 0.9426 0.2375
O27 0.8567 0.0872 0.6506
O28 0.8567 0.4128 0.1506
O29 0.9008 0.6655 0.9048
O30 0.9008 0.8345 0.4048
O31 0.9605 0.1657 0.8577
O32 0.9605 0.3343 0.3577

Peak list (10 most intense, 10 to 90 degrees two-theta, in order of rising 2θ)
Position (°2θ)  intensity
11.57  49
17.90  29
21.31  31
23.11  35
25.87  70
29.54  65
31.01  38
33.61  100
34.30  55
60.98  29

3.
For CaFeAs2O7, a crystal structure in the Materials Project, relaxed with PBE+U gives the simulated X-ray diffraction stick pattern in this record (copper Kα).

Atomic structure:
Cell: 7.5491 9.1743 9.5639 Å, 90.00 111.17 90.00°
Sites, in units of the cell vectors:
Ca1 0.2431 0.0671 0.0705
Ca2 0.2431 0.4329 0.5705
Ca3 0.7569 0.5671 0.4295
Ca4 0.7569 0.9329 0.9295
Fe1 0.3021 0.0551 0.6926
Fe2 0.3021 0.4449 0.1926
Fe3 0.6979 0.5551 0.8074
Fe4 0.6979 0.9449 0.3074
As1 0.0805 0.7380 0.7645
As2 0.0805 0.7620 0.2645
As3 0.4837 0.7050 0.0450
As4 0.4837 0.7950 0.5450
As5 0.5163 0.2050 0.4550
As6 0.5163 0.2950 0.9550
As7 0.9195 0.2380 0.7355
As8 0.9195 0.2620 0.2355
O1 0.0673 0.6343 0.6135
O2 0.0673 0.8657 0.1135
O3 0.1251 0.2350 0.7009
O4 0.1251 0.2650 0.2009
O5 0.1568 0.5866 0.2726
O6 0.1568 0.9134 0.7726
O7 0.2542 0.6463 0.9228
O8 0.2542 0.8537 0.4228
O9 0.3554 0.1914 0.5422
O10 0.3554 0.3086 0.0422
O11 0.4842 0.0887 0.3100
O12 0.4842 0.4113 0.8100
O13 0.4878 0.6161 0.5948
O14 0.4878 0.8839 0.0948
O15 0.5122 0.1161 0.9052
O16 0.5122 0.3839 0.4052
O17 0.5158 0.5887 0.1900
O18 0.5158 0.9113 0.6900
O19 0.6446 0.6914 0.9578
O20 0.6446 0.8086 0.4578
O21 0.7458 0.1463 0.5772
O22 0.7458 0.3537 0.0772
O23 0.8432 0.0866 0.2274
O24 0.8432 0.4134 0.7274
O25 0.8749 0.7350 0.7991
O26 0.8749 0.7650 0.2991
O27 0.9327 0.1343 0.8865
O28 0.9327 0.3657 0.3865

Peak list (10 most intense, 10 to 90 degrees two-theta, in order of rising 2θ)
Position (°2θ)  intensity
19.35  38
21.05  27
27.13  17
27.27  59
27.49  100
27.77  71
28.98  16
31.91  15
32.05  64
33.65  18

4.
For CaMnAs2H6O10, a crystal structure in the Materials Project, relaxed with PBE+U gives the simulated X-ray diffraction stick pattern in this record (copper Kα).

Atomic structure:
Cell: 7.0512 7.7450 8.5775 Å, 84.60 82.10 81.57°
Sites, in units of the cell vectors:
Ca1 0.1282 0.3985 0.1702
Ca2 0.8718 0.6015 0.8298
Mn1 0.3382 0.6505 0.4219
Mn2 0.6618 0.3495 0.5781
As1 0.1651 0.2713 0.5723
As2 0.3642 0.6370 0.8152
As3 0.6358 0.3630 0.1848
As4 0.8349 0.7287 0.4277
H1 0.1244 0.1087 0.9478
H2 0.2347 0.9723 0.6790
H3 0.2497 0.0398 0.0817
H4 0.2848 0.0110 0.3377
H5 0.4221 0.7330 0.0448
H6 0.4983 0.9235 0.2735
H7 0.5017 0.0765 0.7265
H8 0.5779 0.2670 0.9552
H9 0.7152 0.9890 0.6623
H10 0.7503 0.9602 0.9183
H11 0.7653 0.0277 0.3210
H12 0.8756 0.8913 0.0522
O1 0.0555 0.6264 0.3513
O2 0.1394 0.1264 0.0566
O3 0.1609 0.1947 0.3937
O4 0.1776 0.5383 0.9138
O5 0.2307 0.0955 0.7134
O6 0.3025 0.7639 0.6509
O7 0.3408 0.4035 0.5705
O8 0.3613 0.9043 0.2880
O9 0.4187 0.7933 0.9383
O10 0.4233 0.5046 0.2070
O11 0.5767 0.4954 0.7930
O12 0.5813 0.2067 0.0617
O13 0.6387 0.0957 0.7120
O14 0.6592 0.5965 0.4295
O15 0.6975 0.2361 0.3491
O16 0.7693 0.9045 0.2866
O17 0.8224 0.4617 0.0862
O18 0.8391 0.8053 0.6063
O19 0.8606 0.8736 0.9434
O20 0.9445 0.3736 0.6487

Peak list (10 most intense, 10 to 90 degrees two-theta, in order of rising 2θ)
Position (°2θ)  intensity
10.44  37
11.58  100
23.24  44
24.81  68
26.81  48
29.76  37
31.26  18
32.45  16
32.73  32
32.98  23

5.
For CaAsH5W2O4, a crystal structure in the Materials Project, relaxed with PBE+U gives the simulated X-ray diffraction stick pattern in this record (copper Kα).

Atomic structure:
Cell: 11.0849 11.0849 5.8486 Å, 97.47 97.47 145.61°
Sites, in units of the cell vectors:
Ca1 0.1992 0.8008 0.5000
Ca2 0.8008 0.1992 0.0000
As1 0.2905 0.6705 0.9795
As2 0.6705 0.2905 0.4795
H1 0.0536 0.2824 0.3201
H2 0.1714 0.1847 0.8541
H3 0.1847 0.1714 0.3541
H4 0.2824 0.0536 0.8201
H5 0.4943 0.6554 0.4354
H6 0.6203 0.9646 0.3750
H7 0.6554 0.4943 0.9354
H8 0.6818 0.7696 0.9879
H9 0.7696 0.6818 0.4879
H10 0.9646 0.6203 0.8750
W1 0.2270 0.3386 0.1837
W2 0.3386 0.2270 0.6837
W3 0.7640 0.8304 0.7140
W4 0.8304 0.7640 0.2140
O1 0.1385 0.6386 0.1082
O2 0.1458 0.4104 0.9194
O3 0.3381 0.7599 0.7424
O4 0.4104 0.1458 0.4194
O5 0.5947 0.9201 0.1965
O6 0.6386 0.1385 0.6082
O7 0.7599 0.3381 0.2424
O8 0.9201 0.5947 0.6965

Peak list (10 most intense, 10 to 90 degrees two-theta, in order of rising 2θ)
Position (°2θ)  intensity
16.74  31
18.86  30
21.16  89
27.11  100
30.12  28
31.54  69
34.30  51
34.65  44
35.20  45
35.40  30

6.
For Ca4Mg4V3AsO20, a crystal structure in the Materials Project, relaxed with PBE+U gives the simulated X-ray diffraction stick pattern in this record (copper Kα).

Atomic structure:
Cell: 6.0604 7.4306 9.1536 Å, 89.62 89.83 89.96°
Sites, in units of the cell vectors:
Ca1 0.0000 0.0000 0.0000
Ca2 0.0514 0.4967 0.1739
Ca3 0.4964 0.2389 0.6766
Ca4 0.5509 0.7334 0.5005
Mg1 0.2706 0.6261 0.8320
Mg2 0.2779 0.1079 0.3330
Mg3 0.7701 0.6096 0.8408
Mg4 0.7806 0.1235 0.3428
V1 0.0109 0.4857 0.5201
V2 0.5103 0.7477 0.1547
V3 0.5405 0.2473 0.0209
As1 0.0407 0.9866 0.6542
O1 0.0148 0.8035 0.7735
O2 0.0200 0.9796 0.2490
O3 0.0296 0.4822 0.9247
O4 0.0363 0.3025 0.3980
O5 0.1098 0.1574 0.7715
O6 0.2623 0.5191 0.6136
O7 0.2655 0.9713 0.5370
O8 0.2802 0.7584 0.0389
O9 0.2888 0.2147 0.1151
O10 0.4486 0.5733 0.2715
O11 0.5133 0.4306 0.8972
O12 0.5190 0.2500 0.4266
O13 0.5301 0.7539 0.7487
O14 0.5366 0.9294 0.2789
O15 0.6044 0.0747 0.9047
O16 0.7608 0.7151 0.0596
O17 0.7706 0.2583 0.1364
O18 0.7790 0.4756 0.6353
O19 0.7939 0.0132 0.5612
O20 0.9485 0.6577 0.4017

Peak list (10 most intense, 10 to 90 degrees two-theta, in order of rising 2θ)
Position (°2θ)  intensity
21.24  40
28.17  100
29.48  30
31.63  20
31.78  22
33.40  42
34.34  26
34.53  26
35.00  23
35.14  20

7.
For CaMnAsO5, a crystal structure in the Materials Project, relaxed with PBE+U gives the simulated X-ray diffraction stick pattern in this record (copper Kα).

Atomic structure:
Cell: 5.9344 7.7001 9.0776 Å, 90.00 90.00 90.00°
Sites, in units of the cell vectors:
Ca1 0.0223 0.1494 0.1699
Ca2 0.4777 0.8506 0.6699
Ca3 0.5223 0.3506 0.8301
Ca4 0.9777 0.6494 0.3301
Mn1 0.2480 0.2534 0.5032
Mn2 0.2520 0.7466 0.0032
Mn3 0.7480 0.2466 0.4968
Mn4 0.7520 0.7534 0.9968
As1 0.0190 0.6106 0.6840
As2 0.4810 0.3894 0.1840
As3 0.5190 0.8894 0.3160
As4 0.9810 0.1106 0.8160
O1 0.0029 0.1317 0.4231
O2 0.0080 0.9291 0.9313
O3 0.0875 0.7738 0.5662
O4 0.2348 0.1353 0.7242
O5 0.2491 0.5948 0.8003
O6 0.2509 0.4052 0.3003
O7 0.2652 0.8647 0.2242
O8 0.4125 0.2262 0.0662
O9 0.4920 0.0709 0.4313
O10 0.4971 0.8683 0.9231
O11 0.5029 0.3683 0.5769
O12 0.5080 0.5709 0.0687
O13 0.5875 0.7262 0.4338
O14 0.7348 0.3647 0.2758
O15 0.7491 0.9052 0.1997
O16 0.7509 0.0948 0.6997
O17 0.7652 0.6353 0.7758
O18 0.9125 0.2738 0.9338
O19 0.9920 0.4291 0.5687
O20 0.9971 0.6317 0.0769

Peak list (10 most intense, 10 to 90 degrees two-theta, in order of rising 2θ)
Position (°2θ)  intensity
17.86  33
21.29  42
27.62  100
30.45  25
31.77  76
33.85  64
34.07  49
35.28  47
56.31  60
61.03  32

8.
For Ca2MnAs2O10, a crystal structure in the Materials Project, relaxed with PBE+U gives the simulated X-ray diffraction stick pattern in this record (copper Kα).

Atomic structure:
Cell: 5.7722 13.5629 5.4633 Å, 90.00 104.33 90.00°
Sites, in units of the cell vectors:
Ca1 0.0491 0.1422 0.2008
Ca2 0.0491 0.3578 0.7008
Ca3 0.9509 0.6422 0.2992
Ca4 0.9509 0.8578 0.7992
Mn1 0.5000 0.0000 0.0000
Mn2 0.5000 0.5000 0.5000
As1 0.3244 0.6228 0.9521
As2 0.3244 0.8772 0.4521
As3 0.6756 0.1228 0.5479
As4 0.6756 0.3772 0.0479
O1 0.0939 0.7029 0.9382
O2 0.0939 0.7971 0.4382
O3 0.2526 0.5529 0.6703
O4 0.2526 0.9471 0.1703
O5 0.2713 0.5418 0.1860
O6 0.2713 0.9582 0.6860
O7 0.3451 0.1102 0.9752
O8 0.3451 0.3898 0.4752
O9 0.3983 0.1692 0.4894
O10 0.3983 0.3308 0.9894
O11 0.6017 0.6692 0.0106
O12 0.6017 0.8308 0.5106
O13 0.6549 0.6102 0.5248
O14 0.6549 0.8898 0.0248
O15 0.7287 0.0418 0.3140
O16 0.7287 0.4582 0.8140
O17 0.7474 0.0529 0.8297
O18 0.7474 0.4471 0.3297
O19 0.9061 0.2029 0.5618
O20 0.9061 0.2971 0.0618

Peak list (10 most intense, 10 to 90 degrees two-theta, in order of rising 2θ)
Position (°2θ)  intensity
17.15  37
20.59  35
25.33  27
25.92  69
26.28  37
28.20  59
29.09  100
33.69  31
34.97  35
48.16  23